Computed powder diffractogram of Li5MnO3F for Cu Kα X-rays, from a cell relaxed with PBE+U.

The 10 most intense peaks (2θ from 5° to 70°), sorted by position:
2theta, d/Å, intensity, h k l
18.71, 4.743, 62, 0 1 -1
22.88, 3.886, 86, 1 1 0
23.00, 3.868, 100, 1 0 -1
26.58, 3.354, 54, 0 2 0
32.60, 2.747, 52, 1 0 2
32.76, 2.733, 45, 1 0 -2
35.42, 2.534, 54, 1 2 -1
42.59, 2.123, 33, 2 1 -1
44.89, 2.019, 26, 1 -3 0
54.73, 1.677, 74, 0 0 4

```
Li5MnO3F
1.0
4.751 0.000 0.000
0.037 6.703 0.000
0.033 0.019 6.713
Li Mn O F
10 2 6 2
direct
0.000 0.000 0.000
0.000 0.296 0.769
0.023 0.713 0.199
0.061 0.295 0.222
0.076 0.533 0.500
0.508 0.039 0.994
0.523 0.795 0.270
0.558 0.222 0.294
0.585 0.500 0.499
0.602 0.808 0.724
0.024 0.004 0.485
0.562 0.506 0.005
0.265 0.018 0.229
0.323 0.515 0.265
0.730 0.786 0.000
0.786 0.249 0.014
0.801 0.748 0.478
0.855 0.284 0.493
0.261 0.019 0.768
0.319 0.509 0.727
```